Record 1
For RbI4N3, the PBE geometry in the Materials Project gives the simulated powder diffractogram in this record (Cu Kα).

Cell lengths 8.666, 8.666, 8.666 Å; angles 138.54, 138.54, 60.08 degrees
Atoms (fractional coordinates):
Rb: 0.000 0.000 0.000
I: 0.000 0.500 0.500
I: 0.256 0.256 0.000
I: 0.500 0.000 0.500
I: 0.744 0.744 0.000
N: 0.250 0.750 0.500
N: 0.500 0.500 0.000
N: 0.750 0.250 0.500

Principal peaks in the range 10° ≤ 2θ ≤ 90°, by intensity:
23.7°, d = 3.754 Å, intensity 100; 29.1°, d = 3.067 Å, intensity 50; 37.9°, d = 2.375 Å, intensity 48; 48.5°, d = 1.878 Å, intensity 46; 41.7°, d = 2.168 Å, intensity 31; 65.8°, d = 1.419 Å, intensity 24; 60.4°, d = 1.533 Å, intensity 15; 57.6°, d = 1.600 Å, intensity 13; 73.5°, d = 1.288 Å, intensity 13; 81.0°, d = 1.187 Å, intensity 13

---

Record 2
For Mg9Si5, the PBE geometry in the Materials Project gives the simulated powder diffractogram in this record (Cu Kα).

Cell lengths 7.255, 7.267, 12.397 Å; angles 78.01, 84.78, 61.14 degrees
Atoms (fractional coordinates):
Mg: 0.000 0.000 0.000
Mg: 0.005 0.615 0.930
Mg: 0.156 0.349 0.310
Mg: 0.178 0.217 0.634
Mg: 0.307 0.547 0.472
Mg: 0.318 0.599 0.134
Mg: 0.325 0.758 0.830
Mg: 0.401 0.268 0.843
Mg: 0.531 0.955 0.476
Mg: 0.556 0.806 0.003
Mg: 0.562 0.120 0.124
Mg: 0.624 0.646 0.303
Mg: 0.642 0.523 0.663
Mg: 0.846 0.337 0.141
Mg: 0.880 0.171 0.477
Mg: 0.898 0.043 0.762
Mg: 0.918 0.875 0.307
Mg: 0.967 0.681 0.657
Si: 0.233 0.838 0.611
Si: 0.237 0.939 0.347
Si: 0.250 0.011 0.144
Si: 0.565 0.182 0.631
Si: 0.571 0.288 0.306
Si: 0.634 0.869 0.784
Si: 0.645 0.396 0.941
Si: 0.897 0.688 0.140
Si: 0.900 0.557 0.477
Si: 0.980 0.326 0.830

Principal peaks in the range 10° ≤ 2θ ≤ 90°, by intensity:
37.2°, d = 2.414 Å, intensity 100; 34.9°, d = 2.572 Å, intensity 89; 42.7°, d = 2.119 Å, intensity 82; 37.8°, d = 2.378 Å, intensity 68; 34.7°, d = 2.587 Å, intensity 67; 36.2°, d = 2.484 Å, intensity 62; 44.8°, d = 2.021 Å, intensity 58; 43.4°, d = 2.084 Å, intensity 50; 38.0°, d = 2.370 Å, intensity 49; 35.8°, d = 2.511 Å, intensity 36

---

Record 3
For NaAgS2O3, the PBE geometry in the Materials Project gives the simulated powder diffractogram in this record (Cu Kα).

Cell lengths 9.421, 6.241, 8.573 Å; angles 90.00, 105.98, 90.00 degrees
Atoms (fractional coordinates):
Na: 0.060 0.137 0.330
Na: 0.060 0.363 0.830
Na: 0.940 0.637 0.170
Na: 0.940 0.863 0.670
Ag: 0.444 0.011 0.781
Ag: 0.444 0.489 0.281
Ag: 0.556 0.511 0.719
Ag: 0.556 0.989 0.219
S: 0.194 0.629 0.510
S: 0.194 0.871 0.010
S: 0.400 0.719 0.041
S: 0.400 0.781 0.541
S: 0.600 0.219 0.459
S: 0.600 0.281 0.959
S: 0.806 0.129 0.990
S: 0.806 0.371 0.490
O: 0.080 0.699 0.966
O: 0.080 0.801 0.466
O: 0.179 0.019 0.870
O: 0.179 0.481 0.370
O: 0.194 0.520 0.660
O: 0.194 0.980 0.160
O: 0.806 0.020 0.840
O: 0.806 0.480 0.340
O: 0.821 0.519 0.630
O: 0.821 0.981 0.130
O: 0.920 0.199 0.534
O: 0.920 0.301 0.034

Principal peaks in the range 10° ≤ 2θ ≤ 90°, by intensity:
32.0°, d = 2.795 Å, intensity 100; 28.8°, d = 3.102 Å, intensity 78; 36.1°, d = 2.488 Å, intensity 78; 17.8°, d = 4.976 Å, intensity 48; 24.9°, d = 3.577 Å, intensity 48; 17.3°, d = 5.139 Å, intensity 45; 39.1°, d = 2.303 Å, intensity 45; 41.0°, d = 2.204 Å, intensity 44; 19.6°, d = 4.528 Å, intensity 43; 35.8°, d = 2.510 Å, intensity 40

---

Record 4
For Mg6Si5, the PBE geometry in the Materials Project gives the simulated powder diffractogram in this record (Cu Kα).

Cell lengths 6.783, 4.000, 15.489 Å; angles 90.00, 95.96, 90.00 degrees
Atoms (fractional coordinates):
Mg: 0.000 0.000 0.000
Mg: 0.020 0.500 0.488
Mg: 0.065 0.000 0.195
Mg: 0.219 0.000 0.635
Mg: 0.297 0.500 0.098
Mg: 0.343 0.500 0.329
Mg: 0.437 0.500 0.778
Mg: 0.489 0.000 0.968
Mg: 0.522 0.500 0.548
Mg: 0.560 0.000 0.212
Mg: 0.761 0.500 0.100
Mg: 0.925 0.500 0.703
Si: 0.019 0.000 0.358
Si: 0.154 0.000 0.818
Si: 0.184 0.500 0.916
Si: 0.309 0.000 0.458
Si: 0.613 0.000 0.679
Si: 0.653 0.000 0.406
Si: 0.763 0.500 0.914
Si: 0.781 0.500 0.319
Si: 0.787 0.000 0.824
Si: 0.825 0.000 0.566

Principal peaks in the range 10° ≤ 2θ ≤ 90°, by intensity:
36.8°, d = 2.441 Å, intensity 100; 34.8°, d = 2.577 Å, intensity 90; 45.3°, d = 2.000 Å, intensity 72; 35.8°, d = 2.510 Å, intensity 58; 37.8°, d = 2.382 Å, intensity 45; 34.0°, d = 2.636 Å, intensity 37; 37.2°, d = 2.416 Å, intensity 37; 35.9°, d = 2.501 Å, intensity 32; 11.5°, d = 7.703 Å, intensity 28; 37.7°, d = 2.389 Å, intensity 27

---

Record 5
For Ti4GaC3, the PBE geometry in the Materials Project gives the simulated powder diffractogram in this record (Cu Kα).

Cell lengths 3.087, 3.087, 23.245 Å; angles 90.00, 90.00, 120.00 degrees
Atoms (fractional coordinates):
Ti: 0.000 0.000 0.155
Ti: 0.000 0.000 0.345
Ti: 0.000 0.000 0.655
Ti: 0.000 0.000 0.845
Ti: 0.333 0.667 0.052
Ti: 0.333 0.667 0.448
Ti: 0.667 0.333 0.552
Ti: 0.667 0.333 0.948
Ga: 0.333 0.667 0.250
Ga: 0.667 0.333 0.750
C: 0.000 0.000 0.000
C: 0.000 0.000 0.500
C: 0.333 0.667 0.609
C: 0.333 0.667 0.891
C: 0.667 0.333 0.109
C: 0.667 0.333 0.391

Principal peaks in the range 10° ≤ 2θ ≤ 90°, by intensity:
38.9°, d = 2.318 Å, intensity 100; 41.0°, d = 2.200 Å, intensity 90; 37.0°, d = 2.429 Å, intensity 49; 59.9°, d = 1.544 Å, intensity 46; 73.7°, d = 1.286 Å, intensity 45; 33.7°, d = 2.656 Å, intensity 40; 38.7°, d = 2.324 Å, intensity 39; 55.4°, d = 1.658 Å, intensity 20; 49.0°, d = 1.858 Å, intensity 15; 75.2°, d = 1.264 Å, intensity 13

---

Repeat the fourth record exactly.
For Mg6Si5, the PBE geometry in the Materials Project gives the simulated powder diffractogram in this record (Cu Kα).

Cell lengths 6.783, 4.000, 15.489 Å; angles 90.00, 95.96, 90.00 degrees
Atoms (fractional coordinates):
Mg: 0.000 0.000 0.000
Mg: 0.020 0.500 0.488
Mg: 0.065 0.000 0.195
Mg: 0.219 0.000 0.635
Mg: 0.297 0.500 0.098
Mg: 0.343 0.500 0.329
Mg: 0.437 0.500 0.778
Mg: 0.489 0.000 0.968
Mg: 0.522 0.500 0.548
Mg: 0.560 0.000 0.212
Mg: 0.761 0.500 0.100
Mg: 0.925 0.500 0.703
Si: 0.019 0.000 0.358
Si: 0.154 0.000 0.818
Si: 0.184 0.500 0.916
Si: 0.309 0.000 0.458
Si: 0.613 0.000 0.679
Si: 0.653 0.000 0.406
Si: 0.763 0.500 0.914
Si: 0.781 0.500 0.319
Si: 0.787 0.000 0.824
Si: 0.825 0.000 0.566

Principal peaks in the range 10° ≤ 2θ ≤ 90°, by intensity:
36.8°, d = 2.441 Å, intensity 100; 34.8°, d = 2.577 Å, intensity 90; 45.3°, d = 2.000 Å, intensity 72; 35.8°, d = 2.510 Å, intensity 58; 37.8°, d = 2.382 Å, intensity 45; 34.0°, d = 2.636 Å, intensity 37; 37.2°, d = 2.416 Å, intensity 37; 35.9°, d = 2.501 Å, intensity 32; 11.5°, d = 7.703 Å, intensity 28; 37.7°, d = 2.389 Å, intensity 27